No. 1
For ThBe2PdPt2, the PBE geometry in Alexandria gives the theoretical powder XRD pattern in this record (Cu Kα (weighted mean of Kα1 and Kα2)).

Most intense lines, 2θ = 10–80°, in order of rising 2θ:
- hkl 1 0 1, 2θ 22.2, rel. 6.5
- hkl 1 0 3, 2θ 32.0, rel. 3.6
- hkl 0 0 4, 2θ 32.4, rel. 28.6
- hkl 1 1 2, 2θ 33.7, rel. 100.0
- hkl 2 0 0, 2θ 42.1, rel. 29.0
- hkl 2 0 4, 2θ 54.1, rel. 27.3
- hkl 1 1 6, 2θ 58.6, rel. 21.7
- hkl 2 2 0, 2θ 61.0, rel. 9.8
- hkl 2 2 4, 2θ 70.8, rel. 12.3
- hkl 3 1 2, 2θ 71.6, rel. 23.2

Atomic structure:
Lattice parameters (Å, degrees): 4.2941 4.2941 11.0494 90.00 90.00 90.00
Space group I4/mmm (No. 139)
Symmetry-distinct sites (fractional):
1 Th 0.0000 0.0000 0.0000
2 Be 0.0000 0.0000 0.3043
3 Pd 0.0000 0.0000 0.5000
4 Pt 0.0000 0.5000 0.2500

=====

No. 2
For La5Nd2Tm6, the PBE geometry in Alexandria gives the theoretical powder XRD pattern in this record (Cu Kα (weighted mean of Kα1 and Kα2)).

Most intense lines, 2θ = 10–80°, in order of rising 2θ:
- hkl 1 3 1, 2θ 28.8, rel. 24.7
- hkl 4 1 0, 2θ 30.9, rel. 100.0
- hkl 1 4 1, 2θ 31.0, rel. 26.2
- hkl 2 3 1, 2θ 31.8, rel. 57.1
- hkl 2 4 1, 2θ 33.8, rel. 48.8
- hkl 3 6 0, 2θ 34.5, rel. 24.4
- hkl 3 3 1, 2θ 36.2, rel. 23.2
- hkl 1 10 1, 2θ 51.0, rel. 16.6
- hkl 6 3 1, 2θ 55.1, rel. 16.2
- hkl 4 1 2, 2θ 60.3, rel. 29.7

Atomic structure:
Lattice parameters (Å, degrees): 11.6996 20.9399 3.6165 90.00 90.00 90.00
Space group Pbam (No. 55)
Symmetry-distinct sites (fractional):
1 La 0.0000 0.0000 0.0000
2 La 0.0585 0.2910 0.0000
3 La 0.1964 0.5692 0.0000
4 Nd 0.1985 0.7328 0.5000
5 Tm 0.0569 0.1436 0.5000
6 Tm 0.0759 0.4345 0.5000
7 Tm 0.1926 0.8776 0.0000

=====

No. 3
For CdAs2PtO6, the PBE geometry in Alexandria gives the theoretical powder XRD pattern in this record (Cu Kα (weighted mean of Kα1 and Kα2)).

Most intense lines, 2θ = 10–80°, in order of rising 2θ:
- hkl 2 0 0, 2θ 19.3, rel. 49.9
- hkl 0 2 1, 2θ 26.2, rel. 41.1
- hkl 2 2 -1, 2θ 29.0, rel. 93.7
- hkl 2 2 0, 2θ 29.1, rel. 95.5
- hkl 0 0 2, 2θ 29.5, rel. 100.0
- hkl 2 2 -2, 2θ 35.8, rel. 38.0
- hkl 2 2 1, 2θ 36.1, rel. 46.7
- hkl 4 2 -1, 2θ 42.4, rel. 40.3
- hkl 0 4 1, 2θ 46.6, rel. 39.9
- hkl 2 2 -3, 2θ 47.0, rel. 34.8

Atomic structure:
Lattice parameters (Å, degrees): 9.9765 8.2303 6.5863 90.00 113.01 90.00
Space group C2/c (No. 15)
Symmetry-distinct sites (fractional):
1 Cd 0.0000 0.1259 0.2500
2 As 0.1856 0.4757 0.2358
3 Pt 0.0000 0.3115 0.7500
4 O 0.1047 0.2981 0.0830
5 O 0.1267 0.0755 0.6743
6 O 0.1850 0.3977 0.5029